Structure and computed X-ray powder pattern of LiAc2SiO5 (DFT lattice parameters and positions (PBE); λ = 1.5418 Å (Cu Kα)).
Neutral-atom scattering factors, no anomalous dispersion.

The 12 most intense peaks (10 to 90 degrees two-theta), most intense first:
2theta	Rel. int.	index
16.18	100.0	0 0 1
31.98	86.0	2 1 1
29.47	59.2	2 0 1
43.17	46.9	2 1 2
27.40	42.4	2 1 0
54.62	34.8	4 1 1
24.46	26.6	2 0 0
62.61	22.7	4 1 2
51.78	21.1	4 1 0
32.70	20.2	0 0 2
42.61	17.2	3 1 1
41.26	15.9	2 0 2

Atomic structure:
Cell: 7.279 7.279 5.477 Å, 90.00 90.00 90.00°
Fractional coordinates of all 18 atoms:
Li 0.000 0.000 0.000
Li 0.500 0.500 0.000
Ac 0.185 0.315 0.500
Ac 0.315 0.815 0.500
Ac 0.685 0.185 0.500
Ac 0.815 0.685 0.500
Si 0.000 0.500 0.000
Si 0.500 0.000 0.000
O 0.000 0.000 0.500
O 0.118 0.618 0.224
O 0.118 0.618 0.776
O 0.382 0.118 0.224
O 0.382 0.118 0.776
O 0.500 0.500 0.500
O 0.618 0.882 0.224
O 0.618 0.882 0.776
O 0.882 0.382 0.224
O 0.882 0.382 0.776